Entry 1:
For PrGa4B3O12, a PBE-relaxed structure gives the theoretical powder XRD pattern in this record (Cu Ka).

Crystal structure
```
data_PrGa4B3O12
_cell_length_a 7.136
_cell_length_b 7.136
_cell_length_c 7.136
_cell_angle_alpha 90.00
_cell_angle_beta 90.00
_cell_angle_gamma 90.00
_space_group_name_H-M_alt 'I m -3'
_space_group_IT_number 204
_space_group_name_Hall '-I 2 2 3'
loop_
_atom_site_label
_atom_site_type_symbol
_atom_site_fract_x
_atom_site_fract_y
_atom_site_fract_z
Pr1 Pr 0.000 0.000 0.000
Ga1 Ga 0.250 0.250 0.250
B1 B 0.000 0.000 0.500
O1 O 0.000 0.335 0.156
```

The 8 most intense peaks (10° ≤ 2θ ≤ 80°), by angle:
2θ 17.6, 5.046 Å, I = 44; 2θ 30.7, 2.913 Å, I = 20; 2θ 35.6, 2.523 Å, I = 100; 2θ 40.0, 2.257 Å, I = 32; 2θ 47.7, 1.907 Å, I = 30; 2θ 51.2, 1.784 Å, I = 20; 2θ 63.9, 1.457 Å, I = 50; 2θ 66.8, 1.400 Å, I = 13

Entry 2:
For CeSmY2Tm, a PBE-relaxed structure gives the theoretical powder XRD pattern in this record (Cu Ka).

Crystal structure
```
data_CeSmY2Tm
_cell_length_a 5.841
_cell_length_b 7.678
_cell_length_c 7.318
_cell_angle_alpha 90.00
_cell_angle_beta 90.00
_cell_angle_gamma 90.00
_space_group_name_H-M_alt 'P m m a'
_space_group_IT_number 51
_space_group_name_Hall '-P 2a 2a'
loop_
_atom_site_label
_atom_site_type_symbol
_atom_site_fract_x
_atom_site_fract_y
_atom_site_fract_z
Ce1 Ce 0.000 0.000 0.000
Sm1 Sm 0.250 0.500 0.159
Y1 Y 0.250 0.289 0.674
Tm1 Tm 0.250 0.000 0.382
```

The 8 most intense peaks (10° ≤ 2θ ≤ 80°), by angle:
2θ 23.2, 3.839 Å, I = 29; 2θ 27.0, 3.303 Å, I = 27; 2θ 30.4, 2.938 Å, I = 100; 2θ 30.6, 2.920 Å, I = 22; 2θ 31.1, 2.875 Å, I = 74; 2θ 35.1, 2.558 Å, I = 58; 2θ 48.9, 1.861 Å, I = 29; 2θ 54.3, 1.689 Å, I = 22

Entry 3:
For NpH5Ir, a PBE-relaxed structure gives the theoretical powder XRD pattern in this record (Cu Ka).

Crystal structure
```
data_NpH5Ir
_cell_length_a 3.926
_cell_length_b 4.723
_cell_length_c 6.660
_cell_angle_alpha 90.00
_cell_angle_beta 90.00
_cell_angle_gamma 90.00
_space_group_name_H-M_alt 'I m m m'
_space_group_IT_number 71
_space_group_name_Hall '-I 2 2'
loop_
_atom_site_label
_atom_site_type_symbol
_atom_site_fract_x
_atom_site_fract_y
_atom_site_fract_z
Np1 Np 0.000 0.000 0.000
H1 H 0.000 0.264 0.328
H2 H 0.000 0.500 0.000
Ir1 Ir 0.000 0.000 0.500
```

The 8 most intense peaks (10° ≤ 2θ ≤ 80°), by angle:
2θ 26.8, 3.330 Å, I = 64; 2θ 29.6, 3.019 Å, I = 100; 2θ 38.1, 2.361 Å, I = 26; 2θ 40.3, 2.237 Å, I = 89; 2θ 47.2, 1.926 Å, I = 29; 2θ 54.2, 1.691 Å, I = 19; 2θ 63.8, 1.458 Å, I = 24; 2θ 68.2, 1.375 Å, I = 20

Entry 4:
For Rb5S2, a PBE-relaxed structure gives the theoretical powder XRD pattern in this record (Cu Ka).

Crystal structure
```
data_Rb5S2
_cell_length_a 17.842
_cell_length_b 7.966
_cell_length_c 8.703
_cell_angle_alpha 90.00
_cell_angle_beta 95.42
_cell_angle_gamma 90.00
_space_group_name_H-M_alt 'C 1 2/c 1'
_space_group_IT_number 15
_space_group_name_Hall '-C 2yc'
loop_
_atom_site_label
_atom_site_type_symbol
_atom_site_fract_x
_atom_site_fract_y
_atom_site_fract_z
Rb1 Rb 0.000 0.051 0.250
Rb2 Rb 0.083 0.382 0.914
Rb3 Rb 0.221 0.076 0.335
S1 S 0.102 0.235 0.566
```

The 8 most intense peaks (10° ≤ 2θ ≤ 80°), by angle:
2θ 23.5, 3.786 Å, I = 75; 2θ 24.6, 3.619 Å, I = 92; 2θ 26.8, 3.330 Å, I = 39; 2θ 27.5, 3.244 Å, I = 100; 2θ 28.9, 3.087 Å, I = 71; 2θ 30.2, 2.961 Å, I = 100; 2θ 32.9, 2.720 Å, I = 38; 2θ 47.7, 1.906 Å, I = 46

Entry 5:
For GaHgH, a PBE-relaxed structure gives the theoretical powder XRD pattern in this record (Cu Ka).

Crystal structure
```
data_GaHgH
_cell_length_a 2.874
_cell_length_b 4.864
_cell_length_c 8.190
_cell_angle_alpha 106.39
_cell_angle_beta 91.33
_cell_angle_gamma 90.52
_space_group_name_H-M_alt 'P -1'
_space_group_IT_number 2
_space_group_name_Hall '-P 1'
loop_
_atom_site_label
_atom_site_type_symbol
_atom_site_fract_x
_atom_site_fract_y
_atom_site_fract_z
Ga1 Ga 0.004 0.405 0.305
Hg1 Hg 0.305 0.186 0.876
H1 H 0.493 0.022 0.549
```

The 8 most intense peaks (10° ≤ 2θ ≤ 80°), by angle:
2θ 11.3, 7.854 Å, I = 100; 2θ 24.8, 3.590 Å, I = 36; 2θ 25.2, 3.537 Å, I = 33; 2θ 32.9, 2.722 Å, I = 27; 2θ 33.7, 2.657 Å, I = 41; 2θ 34.2, 2.621 Å, I = 44; 2θ 36.8, 2.441 Å, I = 37; 2θ 37.0, 2.430 Å, I = 70

Entry 6:
For Pu4AgPd2Rh, a PBE-relaxed structure gives the theoretical powder XRD pattern in this record (Cu Ka).

Crystal structure
```
data_Pu4AgPd2Rh
_cell_length_a 5.0349
_cell_length_b 5.0349
_cell_length_c 24.1336
_cell_angle_alpha 90.00
_cell_angle_beta 90.00
_cell_angle_gamma 120.00
_space_group_name_H-M_alt 'R -3 m'
_space_group_IT_number 166
_space_group_name_Hall '-R 3 2"'
loop_
_atom_site_label
_atom_site_type_symbol
_atom_site_fract_x
_atom_site_fract_y
_atom_site_fract_z
Pu1 Pu 0.0000 0.0000 0.1158
Pu2 Pu 0.0000 0.0000 0.3665
Ag1 Ag 0.0000 0.0000 0.5000
Pd1 Pd 0.0000 0.0000 0.2408
Rh1 Rh 0.0000 0.0000 0.0000
```

The 8 most intense peaks (10° ≤ 2θ ≤ 80°), by angle:
2θ 25.2, 3.534 Å, I = 29; 2θ 35.7, 2.517 Å, I = 100; 2θ 36.2, 2.481 Å, I = 81; 2θ 51.7, 1.767 Å, I = 29; 2θ 64.1, 1.453 Å, I = 18; 2θ 64.4, 1.446 Å, I = 31; 2θ 65.5, 1.425 Å, I = 8; 2θ 75.5, 1.259 Å, I = 12

Entry 7:
For Rb3TlAu2, a PBE-relaxed structure gives the theoretical powder XRD pattern in this record (Cu Ka).

Crystal structure
```
data_Rb3TlAu2
_cell_length_a 9.785
_cell_length_b 11.009
_cell_length_c 11.565
_cell_angle_alpha 90.00
_cell_angle_beta 119.40
_cell_angle_gamma 90.00
_space_group_name_H-M_alt 'P 1 21/c 1'
_space_group_IT_number 14
_space_group_name_Hall '-P 2ybc'
loop_
_atom_site_label
_atom_site_type_symbol
_atom_site_fract_x
_atom_site_fract_y
_atom_site_fract_z
Rb1 Rb 0.215 0.215 0.331
Rb2 Rb 0.249 0.536 0.144
Rb3 Rb 0.249 0.576 0.534
Tl1 Tl 0.388 0.613 0.901
Au1 Au 0.053 0.563 0.782
Au2 Au 0.435 0.228 0.170
```

The 8 most intense peaks (10° ≤ 2θ ≤ 80°), by angle:
2θ 19.2, 4.624 Å, I = 72; 2θ 25.9, 3.445 Å, I = 64; 2θ 26.4, 3.371 Å, I = 100; 2θ 28.4, 3.145 Å, I = 63; 2θ 31.1, 2.875 Å, I = 63; 2θ 32.0, 2.799 Å, I = 73; 2θ 37.8, 2.382 Å, I = 60; 2θ 40.3, 2.236 Å, I = 59

Entry 8:
For OsCN, a PBE-relaxed structure gives the theoretical powder XRD pattern in this record (Cu Ka).

Crystal structure
```
data_OsCN
_cell_length_a 2.7987
_cell_length_b 2.7987
_cell_length_c 5.0893
_cell_angle_alpha 90.00
_cell_angle_beta 90.00
_cell_angle_gamma 120.00
_space_group_name_H-M_alt 'P 6 m m'
_space_group_IT_number 183
_space_group_name_Hall 'P 6 -2'
loop_
_atom_site_label
_atom_site_type_symbol
_atom_site_fract_x
_atom_site_fract_y
_atom_site_fract_z
Os1 Os 0.0000 0.0000 0.0000
C1 C 0.0000 0.0000 0.6182
N1 N 0.0000 0.0000 0.3836
```

The 8 most intense peaks (10° ≤ 2θ ≤ 80°), by angle:
2θ 17.4, 5.089 Å, I = 100; 2θ 35.3, 2.545 Å, I = 23; 2θ 37.1, 2.424 Å, I = 76; 2θ 41.3, 2.188 Å, I = 74; 2θ 52.1, 1.755 Å, I = 47; 2θ 67.4, 1.390 Å, I = 24; 2θ 69.7, 1.349 Å, I = 17; 2θ 77.9, 1.226 Å, I = 14

Q: What is the formula in the sixth record?
A: Pu4AgPd2Rh

Q: Which formula does entry 5 have?
A: GaHgH